Simulated powder diffraction line list of KNiPdSe3 for a wavelength of 1.5418 Å, from a crystal structure in OQMD, relaxed with GGA-PBE.

Atomic structure:
a b c (Å): 7.9440 3.7798 9.7291
angles (deg): 90.00 107.05 90.00
Element x y z (fractional)
1 K 0.2261 0.2500 0.2807
2 K 0.7739 0.7500 0.7193
3 Ni 0.3406 0.7500 0.8577
4 Ni 0.6594 0.2500 0.1423
5 Pd 0.0916 0.2500 0.5900
6 Pd 0.9084 0.7500 0.4100
7 Se 0.1442 0.2500 0.8682
8 Se 0.2907 0.7500 0.6010
9 Se 0.4579 0.7500 0.1178
10 Se 0.5421 0.2500 0.8822
11 Se 0.7093 0.2500 0.3990
12 Se 0.8558 0.7500 0.1318

Largest 8 diffraction maxima, low angle first, 10° ≤ 2θ ≤ 80°:
- (1 0 -1), 6.969 Å, I = 100
- (2 1 0), 2.679 Å, I = 43
- (1 0 3), 2.615 Å, I = 13
- (0 0 4), 2.325 Å, I = 14
- (3 1 -1), 2.168 Å, I = 22
- (2 1 -4), 1.969 Å, I = 15
- (0 2 0), 1.890 Å, I = 14
- (3 1 -5), 1.600 Å, I = 16

---

Simulated powder diffraction line list of Nb3Te4 for a wavelength of 1.5418 Å, from a crystal structure in OQMD, relaxed with GGA-PBE.

Atomic structure:
a b c (Å): 11.8915 11.8915 3.5846
angles (deg): 90.00 90.00 120.00
Element x y z (fractional)
1 Nb 0.0744 0.6001 0.2500
2 Nb 0.3999 0.4743 0.2500
3 Nb 0.4743 0.0744 0.7500
4 Nb 0.5257 0.9256 0.2500
5 Nb 0.6001 0.5257 0.7500
6 Nb 0.9256 0.3999 0.7500
7 Te 0.0777 0.3565 0.2500
8 Te 0.2787 0.9223 0.2500
9 Te 0.3333 0.6667 0.2500
10 Te 0.3565 0.2787 0.7500
11 Te 0.6435 0.7213 0.2500
12 Te 0.6667 0.3333 0.7500
13 Te 0.7213 0.0777 0.7500
14 Te 0.9223 0.6435 0.7500

Largest 8 diffraction maxima, low angle first, 10° ≤ 2θ ≤ 80°:
- (1 1 0), 5.946 Å, I = 19
- (3 0 0), 3.433 Å, I = 37
- (1 0 1), 3.385 Å, I = 72
- (3 1 0), 2.856 Å, I = 53
- (1 2 1), 2.637 Å, I = 18
- (4 1 0), 2.247 Å, I = 27
- (3 1 1), 2.234 Å, I = 100
- (4 0 1), 2.091 Å, I = 29

---

- Number 2 is which compound?
  Nb3Te4

---

Repeat the first record exactly.
Simulated powder diffraction line list of KNiPdSe3 for a wavelength of 1.5418 Å, from a crystal structure in OQMD, relaxed with GGA-PBE.

Atomic structure:
a b c (Å): 7.9440 3.7798 9.7291
angles (deg): 90.00 107.05 90.00
Element x y z (fractional)
1 K 0.2261 0.2500 0.2807
2 K 0.7739 0.7500 0.7193
3 Ni 0.3406 0.7500 0.8577
4 Ni 0.6594 0.2500 0.1423
5 Pd 0.0916 0.2500 0.5900
6 Pd 0.9084 0.7500 0.4100
7 Se 0.1442 0.2500 0.8682
8 Se 0.2907 0.7500 0.6010
9 Se 0.4579 0.7500 0.1178
10 Se 0.5421 0.2500 0.8822
11 Se 0.7093 0.2500 0.3990
12 Se 0.8558 0.7500 0.1318

Largest 8 diffraction maxima, low angle first, 10° ≤ 2θ ≤ 80°:
- (1 0 -1), 6.969 Å, I = 100
- (2 1 0), 2.679 Å, I = 43
- (1 0 3), 2.615 Å, I = 13
- (0 0 4), 2.325 Å, I = 14
- (3 1 -1), 2.168 Å, I = 22
- (2 1 -4), 1.969 Å, I = 15
- (0 2 0), 1.890 Å, I = 14
- (3 1 -5), 1.600 Å, I = 16